Starting from a structure optimized by DFT (PBE+U), the X-ray diffraction stick pattern of Li2V2P3O12 was calculated for Cu Ka.
Intensities are scaled so that the largest is 100.

Principal peaks in the range 15 to 90 degrees two-theta, by intensity:
| 2theta | I_rel |
| --- | --- |
| 24.07 | 100.0 |
| 19.83 | 70.6 |
| 19.94 | 37.0 |
| 31.68 | 32.6 |
| 24.56 | 31.8 |
| 28.81 | 30.1 |
| 24.39 | 28.9 |
| 29.47 | 28.7 |
| 29.21 | 25.5 |
| 31.93 | 24.4 |

Cell and atoms:
```
data_Li2V2P3O12
_chemical_formula_sum 'Li4 V4 P6 O24'
_cell_length_a 8.3030
_cell_length_b 8.4529
_cell_length_c 8.9459
_cell_angle_alpha 91.19
_cell_angle_beta 117.27
_cell_angle_gamma 119.21
_space_group_name_H-M_alt 'P 1'
_space_group_IT_number 1
loop_
_space_group_symop_operation_xyz
'x,y,z'
loop_
_atom_site_label
_atom_site_fract_x
_atom_site_fract_y
_atom_site_fract_z
_atom_site_occupancy
Li1 0.0581 0.2319 0.1431 1
Li2 0.1874 0.4254 0.8603 1
Li3 0.8126 0.5746 0.1397 1
Li4 0.9419 0.7681 0.8569 1
V1 0.2916 0.6529 0.4359 1
V2 0.3007 0.1469 0.9442 1
V3 0.6993 0.8531 0.0558 1
V4 0.7084 0.3471 0.5641 1
P1 0.2113 0.7474 0.7474 1
P2 0.2131 0.9591 0.2438 1
P3 0.4992 0.5343 0.2531 1
P4 0.5008 0.4657 0.7469 1
P5 0.7869 0.0409 0.7562 1
P6 0.7887 0.2526 0.2526 1
O1 0.0099 0.3890 0.2687 1
O2 0.0314 0.9934 0.2042 1
O3 0.1379 0.7570 0.2663 1
O4 0.1829 0.6897 0.5659 1
O5 0.2362 0.9570 0.0819 1
O6 0.2842 0.9546 0.7940 1
O7 0.2999 0.3478 0.0914 1
O8 0.3400 0.3331 0.7976 1
O9 0.3738 0.7054 0.8862 1
O10 0.3824 0.5091 0.5816 1
O11 0.3902 0.6238 0.2896 1
O12 0.4271 0.1121 0.4126 1
O13 0.5729 0.8879 0.5874 1
O14 0.6098 0.3762 0.7104 1
O15 0.6176 0.4909 0.4184 1
O16 0.6262 0.2946 0.1138 1
O17 0.6600 0.6669 0.2024 1
O18 0.7001 0.6522 0.9086 1
O19 0.7158 0.0454 0.2060 1
O20 0.7638 0.0430 0.9181 1
O21 0.8171 0.3103 0.4341 1
O22 0.8621 0.2430 0.7337 1
O23 0.9686 0.0066 0.7958 1
O24 0.9901 0.6110 0.7313 1
```


Starting from a structure optimized by DFT (PBE+U), the X-ray diffraction stick pattern of BaNdNiBiO6 was calculated for Cu Ka.
Intensities are scaled so that the largest is 100.

Principal peaks in the range 15 to 90 degrees two-theta, by intensity:
| 2theta | I_rel |
| --- | --- |
| 30.63 | 100.0 |
| 54.45 | 40.7 |
| 43.87 | 29.1 |
| 88.67 | 22.1 |
| 63.78 | 18.2 |
| 72.40 | 17.8 |
| 18.62 | 15.4 |
| 36.09 | 10.1 |
| 80.63 | 6.2 |
| 48.04 | 4.9 |

Cell and atoms:
```
data_BaNdNiBiO6
_chemical_formula_sum 'Ba1 Nd1 Ni1 Bi1 O6'
_cell_length_a 5.8374
_cell_length_b 5.8374
_cell_length_c 5.8374
_cell_angle_alpha 60.00
_cell_angle_beta 60.00
_cell_angle_gamma 60.00
_space_group_name_H-M_alt 'P 1'
_space_group_IT_number 1
loop_
_space_group_symop_operation_xyz
'x,y,z'
loop_
_atom_site_label
_atom_site_fract_x
_atom_site_fract_y
_atom_site_fract_z
_atom_site_occupancy
Ba1 0.0000 0.0000 0.0000 1
Nd1 0.5000 0.5000 0.5000 1
Ni1 0.2500 0.2500 0.2500 1
Bi1 0.7500 0.7500 0.7500 1
O1 0.0037 0.0037 0.4963 1
O2 0.0037 0.4963 0.0037 1
O3 0.0037 0.4963 0.4963 1
O4 0.4963 0.0037 0.0037 1
O5 0.4963 0.0037 0.4963 1
O6 0.4963 0.4963 0.0037 1
```


Starting from a structure optimized by DFT (PBE+U), the X-ray diffraction stick pattern of MgFe6O8F4 was calculated for Cu Ka.
Intensities are scaled so that the largest is 100.

Principal peaks in the range 15 to 90 degrees two-theta, by intensity:
| 2theta | I_rel |
| --- | --- |
| 27.29 | 100.0 |
| 21.51 | 97.9 |
| 34.96 | 43.2 |
| 36.51 | 30.7 |
| 34.37 | 25.7 |
| 47.57 | 22.8 |
| 53.34 | 22.5 |
| 52.93 | 18.6 |
| 53.69 | 17.8 |
| 19.77 | 16.5 |

Cell and atoms:
```
data_MgFe6O8F4
_chemical_formula_sum 'Mg1 Fe6 O8 F4'
_cell_length_a 5.2684
_cell_length_b 5.2684
_cell_length_c 8.9993
_cell_angle_alpha 91.34
_cell_angle_beta 91.34
_cell_angle_gamma 76.68
_space_group_name_H-M_alt 'P 1'
_space_group_IT_number 1
loop_
_space_group_symop_operation_xyz
'x,y,z'
loop_
_atom_site_label
_atom_site_fract_x
_atom_site_fract_y
_atom_site_fract_z
_atom_site_occupancy
Mg1 0.0000 0.0000 0.0000 1
Fe1 0.1146 0.1146 0.5085 1
Fe2 0.2628 0.2628 0.8069 1
Fe3 0.2889 0.2889 0.1532 1
Fe4 0.6658 0.6658 0.0034 1
Fe5 0.7081 0.7081 0.3236 1
Fe6 0.7098 0.7098 0.6290 1
O1 0.0063 0.3777 0.9881 1
O2 0.3777 0.0063 0.9881 1
O3 0.3878 0.9974 0.6595 1
O4 0.5109 0.5109 0.1568 1
O5 0.5557 0.5557 0.4742 1
O6 0.8419 0.8419 0.1488 1
O7 0.8869 0.8869 0.4844 1
O8 0.9974 0.3878 0.6595 1
F1 0.0206 0.3785 0.3185 1
F2 0.3785 0.0206 0.3185 1
F3 0.5008 0.5008 0.8271 1
F4 0.8474 0.8474 0.8348 1
```


Starting from a structure optimized by DFT (PBE+U), the X-ray diffraction stick pattern of MgV2Cr4O12 was calculated for Cu Ka.
Intensities are scaled so that the largest is 100.

Principal peaks in the range 15 to 90 degrees two-theta, by intensity:
| 2theta | I_rel |
| --- | --- |
| 26.63 | 100.0 |
| 53.23 | 65.5 |
| 35.83 | 55.1 |
| 54.85 | 23.6 |
| 67.26 | 23.4 |
| 40.73 | 18.1 |
| 38.01 | 13.3 |
| 69.56 | 12.2 |
| 61.99 | 9.0 |
| 62.92 | 7.4 |

Cell and atoms:
```
data_MgV2Cr4O12
_chemical_formula_sum 'Mg1 V2 Cr4 O12'
_cell_length_a 4.7343
_cell_length_b 4.7343
_cell_length_c 8.8634
_cell_angle_alpha 90.00
_cell_angle_beta 90.00
_cell_angle_gamma 90.00
_space_group_name_H-M_alt 'P 1'
_space_group_IT_number 1
loop_
_space_group_symop_operation_xyz
'x,y,z'
loop_
_atom_site_label
_atom_site_fract_x
_atom_site_fract_y
_atom_site_fract_z
_atom_site_occupancy
Mg1 0.0000 0.0000 0.0000 1
V1 0.0000 0.5000 0.7366 1
V2 0.5000 0.0000 0.2634 1
Cr1 0.0000 0.5000 0.0912 1
Cr2 0.0000 0.5000 0.4139 1
Cr3 0.5000 0.0000 0.5861 1
Cr4 0.5000 0.0000 0.9088 1
O1 0.1942 0.3113 0.9113 1
O2 0.1955 0.3099 0.5921 1
O3 0.1996 0.2863 0.2498 1
O4 0.2863 0.8004 0.7502 1
O5 0.3099 0.8045 0.4079 1
O6 0.3113 0.8058 0.0887 1
O7 0.6887 0.1942 0.0887 1
O8 0.6901 0.1955 0.4079 1
O9 0.7137 0.1996 0.7502 1
O10 0.8004 0.7137 0.2498 1
O11 0.8045 0.6901 0.5921 1
O12 0.8058 0.6887 0.9113 1
```


Starting from a structure optimized by DFT (PBE+U), the X-ray diffraction stick pattern of Li5VF8 was calculated for Cu Ka.
Intensities are scaled so that the largest is 100.

Principal peaks in the range 15 to 90 degrees two-theta, by intensity:
| 2theta | I_rel |
| --- | --- |
| 17.46 | 100.0 |
| 26.16 | 87.0 |
| 44.23 | 66.2 |
| 44.11 | 52.1 |
| 39.59 | 41.6 |
| 30.29 | 40.8 |
| 42.56 | 36.1 |
| 28.77 | 35.1 |
| 38.10 | 35.0 |
| 54.54 | 34.9 |

Cell and atoms:
```
data_Li5VF8
_chemical_formula_sum 'Li20 V4 F32'
_cell_length_a 7.6216
_cell_length_b 7.7448
_cell_length_c 10.5436
_cell_angle_alpha 90.00
_cell_angle_beta 105.51
_cell_angle_gamma 90.00
_space_group_name_H-M_alt 'P 1'
_space_group_IT_number 1
loop_
_space_group_symop_operation_xyz
'x,y,z'
loop_
_atom_site_label
_atom_site_fract_x
_atom_site_fract_y
_atom_site_fract_z
_atom_site_occupancy
Li1 0.0244 0.1829 0.0447 1
Li2 0.0244 0.3171 0.5447 1
Li3 0.1320 0.7218 0.7047 1
Li4 0.1320 0.7782 0.2047 1
Li5 0.2121 0.0735 0.8030 1
Li6 0.2121 0.4265 0.3030 1
Li7 0.4387 0.6544 0.5218 1
Li8 0.4387 0.8456 0.0218 1
Li9 0.4467 0.1646 0.2467 1
Li10 0.4467 0.3354 0.7467 1
Li11 0.5533 0.6646 0.2533 1
Li12 0.5533 0.8354 0.7533 1
Li13 0.5613 0.1544 0.9782 1
Li14 0.5613 0.3456 0.4782 1
Li15 0.7879 0.5735 0.6970 1
Li16 0.7879 0.9265 0.1970 1
Li17 0.8680 0.2218 0.7953 1
Li18 0.8680 0.2782 0.2953 1
Li19 0.9756 0.6829 0.4553 1
Li20 0.9756 0.8171 0.9553 1
V1 0.2755 0.0191 0.4917 1
V2 0.2755 0.4809 0.9917 1
V3 0.7245 0.5191 0.0083 1
V4 0.7245 0.9809 0.5083 1
F1 0.0123 0.0371 0.8787 1
F2 0.0123 0.4629 0.3787 1
F3 0.0268 0.1092 0.4048 1
F4 0.0268 0.3908 0.9048 1
F5 0.1565 0.6913 0.8852 1
F6 0.1565 0.8087 0.3852 1
F7 0.2388 0.1807 0.6386 1
F8 0.2388 0.3193 0.1386 1
F9 0.3190 0.6973 0.1242 1
F10 0.3190 0.8027 0.6242 1
F11 0.3320 0.2311 0.4001 1
F12 0.3320 0.2689 0.9001 1
F13 0.4507 0.5404 0.3686 1
F14 0.4507 0.9596 0.8686 1
F15 0.4594 0.5642 0.8886 1
F16 0.4594 0.9358 0.3886 1
F17 0.5406 0.0642 0.6114 1
F18 0.5406 0.4358 0.1114 1
F19 0.5493 0.0404 0.1314 1
F20 0.5493 0.4596 0.6314 1
F21 0.6680 0.7311 0.0999 1
F22 0.6680 0.7689 0.5999 1
F23 0.6810 0.1973 0.3758 1
F24 0.6810 0.3027 0.8758 1
F25 0.7612 0.6807 0.8614 1
F26 0.7612 0.8193 0.3614 1
F27 0.8435 0.1913 0.6148 1
F28 0.8435 0.3087 0.1148 1
F29 0.9732 0.6092 0.0952 1
F30 0.9732 0.8908 0.5952 1
F31 0.9877 0.5371 0.6213 1
F32 0.9877 0.9629 0.1213 1
```